# 1
Structure and computed X-ray diffraction stick pattern of Mn2F7 (the PBE+U geometry in the Materials Project; Cu Kα (λ = 1.5418 Å)).

Top 12 peaks for 10° ≤ 2θ ≤ 90°, by angle:
d_spacing, 2θ/deg, intensity, index
4.977, 17.82, 100, 0 2 0
4.869, 18.22, 45, 0 0 2
4.462, 19.90, 11, 1 1 -1
3.703, 24.03, 42, 1 1 -2
3.481, 25.59, 19, 0 2 2
3.034, 29.44, 38, 1 1 2
2.763, 32.40, 11, 1 3 -1
2.550, 35.19, 13, 1 3 -2
2.312, 38.96, 11, 2 2 -1
2.231, 40.43, 21, 2 2 -2
1.988, 45.63, 23, 1 1 4
1.543, 59.97, 11, 0 2 6

Structure:
Cell lengths 5.225, 9.954, 9.987 Å; angles 90.00, 102.80, 90.00 degrees
Space group C2/c (No. 15)
Asymmetric unit:
Mn 0.215 0.035 0.426 x8
F 0.000 0.018 0.750 x4
F 0.011 0.435 0.398 x8
F 0.085 0.114 0.017 x8
F 0.201 0.315 0.645 x8

# 2
Structure and computed X-ray diffraction stick pattern of MnF3 (the PBE+U geometry in the Materials Project; Cu Kα (λ = 1.5418 Å)).

Top 12 peaks for 10° ≤ 2θ ≤ 90°, by angle:
d_spacing, 2θ/deg, intensity, index
4.771, 18.60, 100, 0 0 1
4.727, 18.77, 47, 1 1 0
4.435, 20.02, 26, 0 2 0
3.379, 26.38, 14, 1 1 -1
3.338, 26.71, 13, 1 1 1
3.249, 27.46, 16, 0 2 1
2.426, 37.06, 38, 2 0 -1
2.286, 39.42, 49, 1 3 1
1.827, 49.91, 11, 2 0 -2
1.768, 51.71, 11, 1 3 -2
1.756, 52.08, 24, 1 3 2
1.576, 58.58, 16, 3 3 0

Structure:
Cell lengths 5.587, 8.871, 4.772 Å; angles 90.00, 90.83, 90.00 degrees
Space group C2/m (No. 12)
Asymmetric unit:
Mn 0.000 0.170 0.000 x4
F 0.120 0.000 0.218 x4
F 0.164 0.314 0.216 x8

# 3
Structure and computed X-ray diffraction stick pattern of MnF4 (the PBE+U geometry in the Materials Project; Cu Kα (λ = 1.5418 Å)).

Top 12 peaks for 10° ≤ 2θ ≤ 90°, by angle:
d_spacing, 2θ/deg, intensity, index
5.229, 16.96, 26, 0 1 2
4.972, 17.84, 21, 1 1 0
3.603, 24.71, 100, 2 0 2
2.918, 30.64, 11, 1 2 2
2.615, 34.30, 17, 0 2 4
2.163, 41.76, 35, 2 2 3
1.802, 50.67, 18, 4 0 4
1.645, 55.90, 30, 2 2 6
1.580, 58.41, 11, 4 2 2
1.459, 63.80, 7, 2 4 4
1.435, 64.98, 13, 6 0 0
1.175, 82.00, 7, 2 6 2

Structure:
Cell lengths 9.9439, 9.9439, 13.1628 Å; angles 90.00, 90.00, 120.00 degrees
Space group R-3c (No. 167, hexagonal axes)
Asymmetric unit:
Mn 0.0000 0.5000 0.0000 x18
F 0.0000 0.1867 0.2500 x18
F 0.0000 0.3124 0.7500 x18
F 0.0326 0.1797 0.9100 x36

# 4
Structure and computed X-ray diffraction stick pattern of MnF3 (the PBE+U geometry in the Materials Project; Cu Kα (λ = 1.5418 Å)).

Top 12 peaks for 10° ≤ 2θ ≤ 90°, by angle:
d_spacing, 2θ/deg, intensity, index
4.388, 20.24, 34, 0 0 2
4.344, 20.44, 75, 1 0 1
3.535, 25.19, 100, 1 1 0
2.753, 32.52, 23, 1 1 2
2.525, 35.56, 23, 1 0 3
2.254, 40.00, 30, 1 1 3
2.236, 40.34, 17, 2 1 0
2.167, 41.68, 14, 2 1 1
1.776, 51.44, 57, 2 1 3
1.768, 51.71, 22, 2 2 0
1.639, 56.11, 10, 2 2 2
1.448, 64.33, 28, 3 0 3

Structure:
Cell lengths 5.000, 5.000, 8.776 Å; angles 90.00, 90.00, 90.00 degrees
Space group P4_2/mnm (No. 136)
Asymmetric unit:
Mn 0.000 0.000 0.174 x4
F 0.173 0.173 0.000 x4
F 0.199 0.199 0.314 x8

# 5
Structure and computed X-ray diffraction stick pattern of MnF4 (the PBE+U geometry in the Materials Project; Cu Kα (λ = 1.5418 Å)).

Top 12 peaks for 10° ≤ 2θ ≤ 90°, by angle:
d_spacing, 2θ/deg, intensity, index
4.654, 19.07, 53, 0 2 0
4.272, 20.80, 100, 1 1 0
2.961, 30.18, 12, 0 0 1
2.607, 34.40, 13, 1 3 0
2.434, 36.93, 23, 1 1 1
2.217, 40.70, 27, 1 2 1
2.095, 43.19, 10, 1 4 0
1.957, 46.40, 9, 1 3 1
1.732, 52.85, 21, 2 2 1
1.672, 54.91, 10, 2 4 0
1.456, 63.94, 7, 2 4 1
1.374, 68.25, 8, 0 6 1

Structure:
Cell lengths 4.808, 9.309, 2.961 Å; angles 90.00, 90.00, 90.00 degrees
Space group Pbam (No. 55)
Asymmetric unit:
Mn 0.000 0.000 0.000 x2
F 0.209 0.074 0.500 x4
F 0.214 0.845 0.000 x4

# 6
Structure and computed X-ray diffraction stick pattern of MnF4 (the PBE+U geometry in the Materials Project; Cu Kα (λ = 1.5418 Å)).

Top 12 peaks for 10° ≤ 2θ ≤ 90°, by angle:
d_spacing, 2θ/deg, intensity, index
7.246, 12.22, 21, 0 0 1
5.347, 16.58, 12, 0 1 0
5.089, 17.43, 9, 1 0 0
4.474, 19.84, 11, 0 1 -1
4.142, 21.45, 16, 1 0 1
3.686, 24.14, 100, 1 1 0
3.623, 24.57, 48, 0 0 2
2.673, 33.53, 18, 1 1 -2
2.202, 40.99, 27, 2 -1 1
2.195, 41.13, 14, 1 0 -3
1.843, 49.45, 18, 2 2 0
1.682, 54.56, 15, 1 3 0

Structure:
Cell lengths 5.089, 5.364, 7.269 Å; angles 94.52, 90.86, 90.02 degrees
Space group P-1 (No. 2)
Asymmetric unit:
Mn 0.000 0.000 0.000 x1
Mn 0.000 0.000 0.500 x1
Mn 0.500 0.500 0.000 x1
F 0.124 0.001 0.246 x2
F 0.172 0.284 0.555 x2
F 0.196 0.681 0.937 x2
F 0.285 0.830 0.556 x2
F 0.321 0.195 0.937 x2
F 0.387 0.500 0.231 x2